Ru3PbO12: simulated X-ray diffraction stick pattern (a wavelength of 1.5418 Å), based on a crystal structure in Alexandria, relaxed with PBE.

Main lines, low angle first (5° ≤ 2θ ≤ 70°):
- 2θ 12.81, d 6.908, I = 100.0
- 2θ 16.92, d 5.240, I = 26.3
- 2θ 19.12, d 4.642, I = 21.9
- 2θ 21.58, d 4.117, I = 82.8
- 2θ 25.79, d 3.454, I = 23.9
- 2θ 27.31, d 3.265, I = 53.1
- 2θ 33.81, d 2.652, I = 30.6
- 2θ 34.96, d 2.567, I = 17.4
- 2θ 39.60, d 2.276, I = 15.2
- 2θ 43.99, d 2.059, I = 15.5

Crystal structure
```
Ru3PbO12
1.0
4.5934 2.6520 9.2847
-4.5934 2.6520 9.2847
0.0000 -5.3040 9.2847
Ru Pb O
6 2 24
Direct
0.0161 0.3537 0.6302 Ru
0.1302 0.8537 0.5161 Ru
0.3537 0.6302 0.0161 Ru
0.5161 0.1302 0.8537 Ru
0.6302 0.0161 0.3537 Ru
0.8537 0.5161 0.1302 Ru
0.2242 0.2242 0.2242 Pb
0.7242 0.7242 0.7242 Pb
0.0208 0.5474 0.0897 O
0.0474 0.5208 0.5897 O
0.0663 0.3686 0.4319 O
0.0897 0.0208 0.5474 O
0.1301 0.1544 0.7514 O
0.1544 0.7514 0.1301 O
0.2514 0.6544 0.6301 O
0.2540 0.9139 0.2910 O
0.2910 0.2540 0.9139 O
0.3686 0.4319 0.0663 O
0.4139 0.7540 0.7910 O
0.4319 0.0663 0.3686 O
0.5208 0.5897 0.0474 O
0.5474 0.0897 0.0208 O
0.5663 0.9319 0.8686 O
0.5897 0.0474 0.5208 O
0.6301 0.2514 0.6544 O
0.6544 0.6301 0.2514 O
0.7514 0.1301 0.1544 O
0.7540 0.7910 0.4139 O
0.7910 0.4139 0.7540 O
0.8686 0.5663 0.9319 O
0.9139 0.2910 0.2540 O
0.9319 0.8686 0.5663 O
```